The following is a theoretical PXRD pattern of HoPb4S5. It was derived from the PBE geometry in Alexandria, using copper Kα.
Kinematic intensities with the Lorentz-polarization factor, no thermal factor.

Top 10 peaks for 2θ from 10° to 90°, sorted by position:
| 2θ/deg | I/Imax |
| --- | --- |
| 25.88 | 100 |
| 29.88 | 69 |
| 30.17 | 34 |
| 42.76 | 25 |
| 42.98 | 51 |
| 50.67 | 36 |
| 51.04 | 17 |
| 53.22 | 27 |
| 68.72 | 15 |
| 78.47 | 17 |

Structural model:
Cell lengths 9.4565, 9.4565, 5.9242 Å; angles 90.00, 90.00, 90.00 degrees
Space group I4 (No. 79)
Symmetry-distinct sites (fractional):
Ho (0.0000, 0.0000, 0.0000) (multiplicity 2)
Pb (0.1034, 0.3019, 0.5139) (multiplicity 8)
S (0.0000, 0.0000, 0.5186) (multiplicity 2)
S (0.0986, 0.2722, 0.0138) (multiplicity 8)